Entry 1:
The following is a theoretical powder diffraction line list of Na4PAu2N. It was derived from DFT lattice parameters and positions (GGA-PBE), using Cu Ka.
Peak positions follow from Bragg's law for the DFT cell and can differ from measured ones.

Peak list (10 most intense, 5 to 70 degrees two-theta, in order of rising 2θ)
d (Å), I_rel
4.859, 100
4.249, 41
2.961, 15
2.701, 66
2.582, 26
2.555, 33
2.429, 17
2.189, 18
2.009, 16
1.946, 25

Cell and atoms:
a b c (Å): 6.501 8.497 5.923
angles (deg): 90.00 90.00 90.00
Space group Amm2 (No. 38)
One atom of each set of equivalent atoms:
Na: 0.000 0.177 0.000 [4 per cell]
Na: 0.500 0.182 0.243 [4 per cell]
P: 0.500 0.000 0.844 [2 per cell]
Au: 0.228 0.000 0.575 [4 per cell]
N: 0.000 0.000 0.327 [2 per cell]



Entry 2:
The following is a theoretical powder diffraction line list of Zr4NiAuN2. It was derived from DFT lattice parameters and positions (GGA-PBE), using Cu Ka.
Peak positions follow from Bragg's law for the DFT cell and can differ from measured ones.

Peak list (10 most intense, 5 to 70 degrees two-theta, in order of rising 2θ)
d (Å), I_rel
13.493, 29
2.850, 27
2.625, 16
2.407, 100
2.249, 14
1.959, 11
1.765, 12
1.645, 23
1.451, 8
1.358, 16

Cell and atoms:
a b c (Å): 3.2903 3.2903 13.4928
angles (deg): 90.00 90.00 120.00
Space group P-6m2 (No. 187)
One atom of each set of equivalent atoms:
Zr: 0.0000 0.0000 0.1412 [2 per cell]
Zr: 0.3333 0.6667 0.3329 [2 per cell]
Ni: 0.3333 0.6667 0.0000 [1 per cell]
Au: 0.0000 0.0000 0.5000 [1 per cell]
N: 0.6667 0.3333 0.2398 [2 per cell]



Entry 3:
The following is a theoretical powder diffraction line list of AuNO6. It was derived from DFT lattice parameters and positions (GGA-PBE), using Cu Ka.
Peak positions follow from Bragg's law for the DFT cell and can differ from measured ones.

Peak list (10 most intense, 5 to 70 degrees two-theta, in order of rising 2θ)
d (Å), I_rel
4.058, 100
3.514, 84
2.485, 46
2.119, 73
2.029, 5
1.757, 20
1.613, 37
1.572, 30
1.435, 16
1.353, 20

Cell and atoms:
a b c (Å): 7.029 7.029 7.029
angles (deg): 90.00 90.00 90.00
Space group F-43m (No. 216)
One atom of each set of equivalent atoms:
Au: 0.000 0.000 0.000 [4 per cell]
N: 0.250 0.250 0.250 [4 per cell]
O: 0.000 0.000 0.281 [24 per cell]



Entry 4:
The following is a theoretical powder diffraction line list of TlAuNO. It was derived from DFT lattice parameters and positions (GGA-PBE), using Cu Ka.
Peak positions follow from Bragg's law for the DFT cell and can differ from measured ones.

Peak list (10 most intense, 5 to 70 degrees two-theta, in order of rising 2θ)
d (Å), I_rel
3.705, 49
3.664, 25
2.805, 100
2.787, 39
2.442, 22
2.338, 30
2.147, 46
1.701, 19
1.613, 25
1.568, 32

Cell and atoms:
a b c (Å): 4.294 4.294 7.327
angles (deg): 90.00 90.00 90.00
Space group P4/nmm (No. 129, origin choice 2)
One atom of each set of equivalent atoms:
Tl: 0.250 0.250 0.129 [2 per cell]
Au: 0.250 0.750 0.500 [2 per cell]
N: 0.250 0.250 0.451 [2 per cell]
O: 0.250 0.750 0.000 [2 per cell]



Entry 5:
The following is a theoretical powder diffraction line list of TlAuNO. It was derived from DFT lattice parameters and positions (GGA-PBE), using Cu Ka.
Peak positions follow from Bragg's law for the DFT cell and can differ from measured ones.

Peak list (10 most intense, 5 to 70 degrees two-theta, in order of rising 2θ)
d (Å), I_rel
2.993, 51
2.877, 100
2.819, 96
2.289, 58
1.818, 57
1.705, 24
1.693, 23
1.439, 12
1.418, 25
1.397, 23

Cell and atoms:
a b c (Å): 3.281 5.986 6.392
angles (deg): 90.00 90.00 90.00
Space group Pmc2_1 (No. 26)
One atom of each set of equivalent atoms:
Tl: 0.000 0.001 0.000 [2 per cell]
Au: 0.500 0.483 0.750 [2 per cell]
N: 0.000 0.267 0.749 [2 per cell]
O: 0.500 0.163 0.251 [2 per cell]



Entry 6:
The following is a theoretical powder diffraction line list of Pd3AuN5. It was derived from DFT lattice parameters and positions (GGA-PBE), using Cu Ka.
Peak positions follow from Bragg's law for the DFT cell and can differ from measured ones.

Peak list (10 most intense, 5 to 70 degrees two-theta, in order of rising 2θ)
d (Å), I_rel
3.076, 96
2.953, 15
2.558, 100
2.343, 62
2.130, 10
1.925, 15
1.728, 38
1.559, 17
1.538, 47
1.477, 23

Cell and atoms:
a b c (Å): 5.9066 5.9066 3.8503
angles (deg): 90.00 90.00 120.00
Space group P6/mmm (No. 191)
One atom of each set of equivalent atoms:
Pd: 0.0000 0.5000 0.0000 [3 per cell]
Au: 0.0000 0.0000 0.5000 [1 per cell]
N: 0.0000 0.0000 0.0000 [1 per cell]
N: 0.3333 0.6667 0.3425 [4 per cell]



Entry 7:
The following is a theoretical powder diffraction line list of Rb4SbAu2N. It was derived from DFT lattice parameters and positions (GGA-PBE), using Cu Ka.
Peak positions follow from Bragg's law for the DFT cell and can differ from measured ones.

Peak list (10 most intense, 5 to 70 degrees two-theta, in order of rising 2θ)
d (Å), I_rel
5.761, 62
5.354, 35
3.164, 65
3.094, 100
3.023, 20
2.905, 49
2.499, 22
2.264, 27
1.785, 23
1.701, 17

Cell and atoms:
a b c (Å): 7.327 10.707 6.835
angles (deg): 90.00 90.00 90.00
Space group Amm2 (No. 38)
One atom of each set of equivalent atoms:
Rb: 0.000 0.166 0.000 [4 per cell]
Rb: 0.500 0.167 0.721 [4 per cell]
Sb: 0.000 0.000 0.526 [2 per cell]
Au: 0.293 0.000 0.282 [4 per cell]
N: 0.500 0.000 0.075 [2 per cell]



Entry 8:
The following is a theoretical powder diffraction line list of Ta4AuSN2. It was derived from DFT lattice parameters and positions (GGA-PBE), using Cu Ka.
Peak positions follow from Bragg's law for the DFT cell and can differ from measured ones.

Peak list (10 most intense, 5 to 70 degrees two-theta, in order of rising 2θ)
d (Å), I_rel
12.468, 11
2.800, 29
2.554, 14
2.494, 8
2.322, 100
2.078, 12
1.669, 11
1.617, 25
1.362, 10
1.357, 7

Cell and atoms:
a b c (Å): 3.2334 3.2334 12.4685
angles (deg): 90.00 90.00 120.00
Space group P-6m2 (No. 187)
One atom of each set of equivalent atoms:
Ta: 0.0000 0.0000 0.1448 [2 per cell]
Ta: 0.6667 0.3333 0.3234 [2 per cell]
Au: 0.0000 0.0000 0.5000 [1 per cell]
S: 0.6667 0.3333 0.0000 [1 per cell]
N: 0.3333 0.6667 0.2395 [2 per cell]